Starting from the PBE geometry in Alexandria, the powder XRD pattern of Si2Os3 was computed for Cu Kα X-rays.

Top 10 peaks for 2θ = 10–90°, in order of falling intensity:
| hkl | 2theta | I_rel |
| --- | --- | --- |
| 0 1 1 | 31.0 | 100 |
| 1 0 2 | 44.0 | 57 |
| 1 1 0 | 44.8 | 55 |
| 2 0 1 | 55.5 | 20 |
| 2 1 2 | 82.1 | 19 |
| 0 2 2 | 64.6 | 19 |
| 1 1 3 | 72.8 | 18 |
| 1 2 1 | 74.0 | 17 |
| 0 1 4 | 80.3 | 10 |
| 3 0 0 | 82.7 | 10 |

Cell and atoms:
a = 4.0442 Å, b = 4.0442 Å, c = 5.0873 Å
α = 90.00°, β = 90.00°, γ = 120.00°
Space group P-3m1 (No. 164)
Asymmetric unit:
Si 0.3333 0.6667 0.3046 [2 per cell]
Os 0.0000 0.0000 0.5000 [1 per cell]
Os 0.3333 0.6667 0.8250 [2 per cell]